[1]
This entry pairs a crystal structure of Na6MgTl5 with its simulated X-ray diffraction stick pattern. Radiation: copper Kα. Structure: a DFT-relaxed cell (GGA-PBE, Alexandria).

Principal peaks in the range 2θ from 15° to 90°, low angle first:
2θ/deg  I/Imax
18.08  77
24.25  15
26.25  60
32.05  100
32.12  33
36.51  21
36.64  24
38.41  21
41.03  16
42.76  18
45.62  21
54.13  27

Cell and atoms:
a = 4.6874 Å, b = 9.1556 Å, c = 9.1710 Å
α = 64.73°, β = 75.37°, γ = 75.30°
Atoms (fractional coordinates):
Na1 0.9997 0.2379 0.2621
Na2 0.0003 0.7621 0.7379
Na3 0.3318 0.4149 0.4218
Na4 0.3315 0.9217 0.9150
Na5 0.6685 0.0783 0.0850
Na6 0.6682 0.5851 0.5782
Mg1 0.5000 0.5000 0.0000
Tl1 0.1487 0.3514 0.8513
Tl2 0.1718 0.8281 0.3281
Tl3 0.5000 0.0000 0.5000
Tl4 0.8282 0.1719 0.6719
Tl5 0.8513 0.6486 0.1487


[2]
This entry pairs a crystal structure of NaMg15Tl4 with its simulated X-ray diffraction stick pattern. Radiation: copper Kα. Structure: a DFT-relaxed cell (GGA-PBE, Alexandria).

Principal peaks in the range 2θ from 15° to 90°, low angle first:
2θ/deg  I/Imax
19.27  66
19.99  30
27.38  29
27.90  55
34.13  100
39.11  35
40.62  15
43.95  17
44.30  16
48.72  25
57.66  22
67.69  27

Cell and atoms:
a = 4.6065 Å, b = 4.6065 Å, c = 22.2096 Å
α = 90.00°, β = 90.00°, γ = 90.00°
Atoms (fractional coordinates):
Na1 0.0000 0.0000 0.0000
Mg1 0.0000 0.5000 0.1031
Mg2 0.0000 0.5000 0.3009
Mg3 0.0000 0.5000 0.5000
Mg4 0.0000 0.5000 0.6991
Mg5 0.0000 0.5000 0.8969
Mg6 0.5000 0.0000 0.1031
Mg7 0.5000 0.0000 0.3009
Mg8 0.5000 0.0000 0.5000
Mg9 0.5000 0.0000 0.6991
Mg10 0.5000 0.0000 0.8969
Mg11 0.5000 0.5000 0.0000
Mg12 0.5000 0.5000 0.2024
Mg13 0.5000 0.5000 0.4007
Mg14 0.5000 0.5000 0.5993
Mg15 0.5000 0.5000 0.7976
Tl1 0.0000 0.0000 0.2024
Tl2 0.0000 0.0000 0.4004
Tl3 0.0000 0.0000 0.5996
Tl4 0.0000 0.0000 0.7976


[3]
This entry pairs a crystal structure of Na6MgTl3 with its simulated X-ray diffraction stick pattern. Radiation: copper Kα. Structure: a DFT-relaxed cell (GGA-PBE, Alexandria).

Principal peaks in the range 2θ from 15° to 90°, low angle first:
2θ/deg  I/Imax
16.10  33
21.42  100
22.35  40
25.10  28
26.45  41
30.48  29
31.78  60
33.26  90
34.08  73
34.49  66
41.80  27
42.66  27

Cell and atoms:
a = 9.1959 Å, b = 5.6312 Å, c = 11.7323 Å
α = 90.00°, β = 106.61°, γ = 90.00°
Atoms (fractional coordinates):
Na1 0.0128 0.2500 0.1634
Na2 0.0139 0.7500 0.3455
Na3 0.2003 0.2500 0.9668
Na4 0.2040 0.7500 0.6356
Na5 0.4043 0.2500 0.7624
Na6 0.4048 0.7500 0.4331
Na7 0.5952 0.2500 0.5669
Na8 0.5957 0.7500 0.2376
Na9 0.7960 0.2500 0.3644
Na10 0.7997 0.7500 0.0332
Na11 0.9861 0.2500 0.6545
Na12 0.9872 0.7500 0.8366
Mg1 0.4154 0.7500 0.9400
Mg2 0.5846 0.2500 0.0600
Tl1 0.2019 0.2500 0.4545
Tl2 0.2151 0.7500 0.1310
Tl3 0.4081 0.2500 0.2599
Tl4 0.5919 0.7500 0.7401
Tl5 0.7849 0.2500 0.8690
Tl6 0.7981 0.7500 0.5455


[4]
This entry pairs a crystal structure of NaMgTl4 with its simulated X-ray diffraction stick pattern. Radiation: copper Kα. Structure: a DFT-relaxed cell (GGA-PBE, Alexandria).

Principal peaks in the range 2θ from 15° to 90°, low angle first:
2θ/deg  I/Imax
18.33  48
19.98  54
28.22  32
30.63  100
30.99  63
34.01  86
36.84  70
37.15  23
40.47  41
42.41  22
51.83  41
65.56  26

Cell and atoms:
a = 10.6076 Å, b = 3.3840 Å, c = 10.5874 Å
α = 90.00°, β = 114.01°, γ = 90.00°
Atoms (fractional coordinates):
Na1 0.0000 0.0000 0.0000
Na2 0.5000 0.5000 0.0000
Mg1 0.0000 0.5000 0.5000
Mg2 0.5000 0.0000 0.5000
Tl1 0.1528 0.0000 0.3473
Tl2 0.1637 0.5000 0.8321
Tl3 0.3363 0.0000 0.1679
Tl4 0.3472 0.5000 0.6527
Tl5 0.6528 0.5000 0.3473
Tl6 0.6637 0.0000 0.8321
Tl7 0.8363 0.5000 0.1679
Tl8 0.8472 0.0000 0.6527


[5]
This entry pairs a crystal structure of Na3MgTl5 with its simulated X-ray diffraction stick pattern. Radiation: copper Kα. Structure: a DFT-relaxed cell (GGA-PBE, Alexandria).

Principal peaks in the range 2θ from 15° to 90°, low angle first:
2θ/deg  I/Imax
19.39  83
22.43  29
26.03  59
29.82  46
32.66  76
33.92  100
34.62  34
39.98  44
43.25  69
57.36  34
64.90  31
71.80  23

Cell and atoms:
a = 9.1549 Å, b = 9.1549 Å, c = 3.4237 Å
α = 90.00°, β = 90.00°, γ = 120.00°
Atoms (fractional coordinates):
Na1 0.0000 0.3727 0.0000
Na2 0.3727 0.0000 0.0000
Na3 0.6273 0.6273 0.0000
Mg1 0.0000 0.0000 0.0000
Tl1 0.0000 0.7121 0.5000
Tl2 0.2879 0.2879 0.5000
Tl3 0.3333 0.6667 0.5000
Tl4 0.6667 0.3333 0.5000
Tl5 0.7121 0.0000 0.5000


[6]
This entry pairs a crystal structure of Na2Mg6Tl3 with its simulated X-ray diffraction stick pattern. Radiation: copper Kα. Structure: a DFT-relaxed cell (GGA-PBE, Alexandria).

Principal peaks in the range 2θ from 15° to 90°, low angle first:
2θ/deg  I/Imax
17.93  86
21.06  96
24.37  55
27.80  93
30.42  100
32.43  43
36.32  33
37.30  84
42.36  32
44.73  53
48.56  68
58.93  48

Cell and atoms:
a = 8.4354 Å, b = 8.4354 Å, c = 4.9467 Å
α = 90.00°, β = 90.00°, γ = 120.00°
Atoms (fractional coordinates):
Na1 0.3333 0.6667 0.0000
Na2 0.6667 0.3333 0.0000
Mg1 0.0000 0.2318 0.5000
Mg2 0.0000 0.7850 0.0000
Mg3 0.2150 0.2150 0.0000
Mg4 0.2318 0.0000 0.5000
Mg5 0.7682 0.7682 0.5000
Mg6 0.7850 0.0000 0.0000
Tl1 0.0000 0.5750 0.5000
Tl2 0.4250 0.4250 0.5000
Tl3 0.5750 0.0000 0.5000